1.
The following is a computed powder diffractogram of ZrPaSb3. It was derived from DFT lattice parameters and positions (PBE), using CuKα.

Main lines, low angle first (10° ≤ 2θ ≤ 90°):
2θ = 31.08°, I 100; 2θ = 31.46°, I 73; 2θ = 33.95°, I 69; 2θ = 34.39°, I 57; 2θ = 40.06°, I 87; 2θ = 53.78°, I 58

Structure:
```
data_ZrPaSb3
_cell_length_a 13.0404
_cell_length_b 6.4135
_cell_length_c 6.3210
_cell_angle_alpha 90.00
_cell_angle_beta 90.00
_cell_angle_gamma 90.00
_symmetry_space_group_name_H-M 'P b c m'
_symmetry_Int_Tables_number 57
loop_
_symmetry_equiv_pos_as_xyz
'x,y,z'
'-x,-y,-z'
'-x,-y,z+1/2'
'x,y,-z+1/2'
'x,-y+1/2,-z'
'-x,y+1/2,z'
'-x,y+1/2,-z+1/2'
'x,-y+1/2,z+1/2'
loop_
_atom_site_label
_atom_site_fract_x
_atom_site_fract_y
_atom_site_fract_z
Zr1 0.0914 0.2500 0.0000
Pa1 0.3201 0.5076 0.2500
Sb1 0.0871 0.6270 0.2500
Sb2 0.2535 0.0108 0.2500
Sb3 0.4977 0.2500 0.0000
```

2.
The following is a computed powder diffractogram of Zr2PaSb3. It was derived from DFT lattice parameters and positions (PBE), using CuKα.

Main lines, low angle first (10° ≤ 2θ ≤ 90°):
2θ = 27.30°, I 67; 2θ = 30.08°, I 79; 2θ = 34.49°, I 100; 2θ = 35.10°, I 69; 2θ = 35.26°, I 63; 2θ = 39.50°, I 45

Structure:
```
data_Zr2PaSb3
_cell_length_a 4.0602
_cell_length_b 11.0302
_cell_length_c 7.1158
_cell_angle_alpha 90.00
_cell_angle_beta 90.00
_cell_angle_gamma 90.00
_symmetry_space_group_name_H-M 'P m c 21'
_symmetry_Int_Tables_number 26
loop_
_symmetry_equiv_pos_as_xyz
'x,y,z'
'-x,-y,z+1/2'
'-x,y,z'
'x,-y,z+1/2'
loop_
_atom_site_label
_atom_site_fract_x
_atom_site_fract_y
_atom_site_fract_z
Zr1 0.0000 0.0189 0.0000
Zr2 0.5000 0.2946 0.9826
Pa1 0.5000 0.3739 0.4976
Sb1 0.0000 0.2113 0.7163
Sb2 0.0000 0.4439 0.1796
Sb3 0.5000 0.1139 0.2736
```

3.
The following is a computed powder diffractogram of ZrPa3Sb4. It was derived from DFT lattice parameters and positions (PBE), using CuKα.

Main lines, low angle first (10° ≤ 2θ ≤ 90°):
2θ = 29.32°, I 100; 2θ = 41.51°, I 13; 2θ = 41.73°, I 26; 2θ = 42.14°, I 25; 2θ = 51.62°, I 14; 2θ = 60.81°, I 13

Structure:
```
data_ZrPa3Sb4
_cell_length_a 7.3939
_cell_length_b 8.7023
_cell_length_c 7.4855
_cell_angle_alpha 90.00
_cell_angle_beta 110.01
_cell_angle_gamma 90.00
_symmetry_space_group_name_H-M 'P 1 2/c 1'
_symmetry_Int_Tables_number 13
loop_
_symmetry_equiv_pos_as_xyz
'x,y,z'
'-x,-y,-z'
'-x,y,-z+1/2'
'x,-y,z+1/2'
loop_
_atom_site_label
_atom_site_fract_x
_atom_site_fract_y
_atom_site_fract_z
Zr1 0.0000 0.1268 0.2500
Pa1 0.0000 0.3739 0.7500
Pa2 0.5000 0.1261 0.7500
Pa3 0.5000 0.3745 0.2500
Sb1 0.2396 0.1183 0.0000
Sb2 0.2439 0.3698 0.4941
```

4.
The following is a computed powder diffractogram of ScPa5. It was derived from DFT lattice parameters and positions (PBE), using CuKα.

Main lines, low angle first (10° ≤ 2θ ≤ 90°):
2θ = 32.28°, I 49; 2θ = 32.40°, I 22; 2θ = 36.19°, I 100; 2θ = 36.32°, I 24; 2θ = 46.39°, I 16; 2θ = 60.15°, I 23

Structure:
```
data_ScPa5
_cell_length_a 12.3873
_cell_length_b 3.2100
_cell_length_c 7.8313
_cell_angle_alpha 90.00
_cell_angle_beta 108.61
_cell_angle_gamma 90.00
_symmetry_space_group_name_H-M 'C 1 m 1'
_symmetry_Int_Tables_number 8
loop_
_symmetry_equiv_pos_as_xyz
'x,y,z'
'x,-y,z'
'x+1/2,y+1/2,z'
'x+1/2,-y+1/2,z'
loop_
_atom_site_label
_atom_site_fract_x
_atom_site_fract_y
_atom_site_fract_z
Sc1 0.0000 0.0000 0.0000
Pa1 0.1323 0.5000 0.7641
Pa2 0.1786 0.5000 0.3432
Pa3 0.2945 0.0000 0.0926
Pa4 0.3328 0.0000 0.6552
Pa5 0.4737 0.5000 0.4194
```

5.
The following is a computed powder diffractogram of Sc8Pa. It was derived from DFT lattice parameters and positions (PBE), using CuKα.

Main lines, low angle first (10° ≤ 2θ ≤ 90°):
2θ = 12.94°, I 50; 2θ = 21.10°, I 28; 2θ = 28.10°, I 28; 2θ = 33.76°, I 100; 2θ = 39.52°, I 32; 2θ = 68.03°, I 23

Structure:
```
data_Sc8Pa
_cell_length_a 9.6746
_cell_length_b 9.6746
_cell_length_c 4.6768
_cell_angle_alpha 90.00
_cell_angle_beta 90.00
_cell_angle_gamma 90.00
_symmetry_space_group_name_H-M 'I 4/m m m'
_symmetry_Int_Tables_number 139
_symmetry_space_group_name_Hall '-I 4 2'
loop_
_atom_site_label
_atom_site_fract_x
_atom_site_fract_y
_atom_site_fract_z
Sc1 0.0000 0.3283 0.0000
Sc2 0.1602 0.1602 0.5000
Pa1 0.0000 0.0000 0.0000
```

6.
The following is a computed powder diffractogram of ScPaSe. It was derived from DFT lattice parameters and positions (PBE), using CuKα.

Main lines, low angle first (10° ≤ 2θ ≤ 90°):
2θ = 13.24°, I 45; 2θ = 29.80°, I 30; 2θ = 30.56°, I 38; 2θ = 36.10°, I 100; 2θ = 40.45°, I 24; 2θ = 52.89°, I 23

Structure:
```
data_ScPaSe
_cell_length_a 13.3728
_cell_length_b 3.4619
_cell_length_c 5.9972
_cell_angle_alpha 90.00
_cell_angle_beta 90.00
_cell_angle_gamma 90.00
_symmetry_space_group_name_H-M 'A m m 2'
_symmetry_Int_Tables_number 38
loop_
_symmetry_equiv_pos_as_xyz
'x,y,z'
'-x,-y,z'
'-x,y,z'
'x,-y,z'
'x,y+1/2,z+1/2'
'-x,-y+1/2,z+1/2'
'-x,y+1/2,z+1/2'
'x,-y+1/2,z+1/2'
loop_
_atom_site_label
_atom_site_fract_x
_atom_site_fract_y
_atom_site_fract_z
Sc1 0.1990 0.0000 0.0000
Pa1 0.0000 0.0000 0.3325
Pa2 0.5000 0.0000 0.0002
Se1 0.3379 0.0000 0.3334
```

7.
The following is a computed powder diffractogram of ScPa4Se5. It was derived from DFT lattice parameters and positions (PBE), using CuKα.

Main lines, low angle first (10° ≤ 2θ ≤ 90°):
2θ = 27.04°, I 43; 2θ = 31.29°, I 91; 2θ = 31.39°, I 44; 2θ = 44.89°, I 100; 2θ = 55.75°, I 35; 2θ = 82.74°, I 23

Structure:
```
data_ScPa4Se5
_cell_length_a 4.0431
_cell_length_b 4.0431
_cell_length_c 28.4937
_cell_angle_alpha 90.00
_cell_angle_beta 90.00
_cell_angle_gamma 90.00
_symmetry_space_group_name_H-M 'I 4/m m m'
_symmetry_Int_Tables_number 139
_symmetry_space_group_name_Hall '-I 4 2'
loop_
_atom_site_label
_atom_site_fract_x
_atom_site_fract_y
_atom_site_fract_z
Sc1 0.0000 0.0000 0.0000
Pa1 0.0000 0.0000 0.1965
Pa2 0.0000 0.0000 0.3990
Se1 0.0000 0.0000 0.0946
Se2 0.0000 0.0000 0.2977
Se3 0.0000 0.0000 0.5000
```

8.
The following is a computed powder diffractogram of ScPaSn6. It was derived from DFT lattice parameters and positions (PBE), using CuKα.

Main lines, low angle first (10° ≤ 2θ ≤ 90°):
2θ = 33.51°, I 100; 2θ = 38.86°, I 34; 2θ = 38.96°, I 17; 2θ = 56.17°, I 35; 2θ = 66.97°, I 28; 2θ = 67.12°, I 14

Structure:
```
data_ScPaSn6
_cell_length_a 4.6354
_cell_length_b 4.6354
_cell_length_c 9.2462
_cell_angle_alpha 90.00
_cell_angle_beta 90.00
_cell_angle_gamma 90.00
_symmetry_space_group_name_H-M 'P 4/m m m'
_symmetry_Int_Tables_number 123
_symmetry_space_group_name_Hall '-P 4 2'
loop_
_atom_site_label
_atom_site_fract_x
_atom_site_fract_y
_atom_site_fract_z
Sc1 0.0000 0.0000 0.0000
Pa1 0.0000 0.0000 0.5000
Sn1 0.0000 0.5000 0.2452
Sn2 0.5000 0.5000 0.0000
Sn3 0.5000 0.5000 0.5000
```

9.
The following is a computed powder diffractogram of TbScPa. It was derived from DFT lattice parameters and positions (PBE), using CuKα.

Main lines, low angle first (10° ≤ 2θ ≤ 90°):
2θ = 11.99°, I 35; 2θ = 27.66°, I 20; 2θ = 32.64°, I 100; 2θ = 38.53°, I 32; 2θ = 54.14°, I 24; 2θ = 66.00°, I 26

Structure:
```
data_TbScPa
_cell_length_a 3.3047
_cell_length_b 3.3047
_cell_length_c 14.7567
_cell_angle_alpha 90.00
_cell_angle_beta 90.00
_cell_angle_gamma 90.00
_symmetry_space_group_name_H-M 'I 4 m m'
_symmetry_Int_Tables_number 107
_symmetry_space_group_name_Hall 'I 4 -2'
loop_
_atom_site_label
_atom_site_fract_x
_atom_site_fract_y
_atom_site_fract_z
Tb1 0.0000 0.0000 0.0000
Sc1 0.0000 0.0000 0.3197
Pa1 0.0000 0.0000 0.6662
```

10.
The following is a computed powder diffractogram of Sc5PaTc6. It was derived from DFT lattice parameters and positions (PBE), using CuKα.

Main lines, low angle first (10° ≤ 2θ ≤ 90°):
2θ = 38.57°, I 27; 2θ = 39.03°, I 100; 2θ = 39.21°, I 24; 2θ = 56.17°, I 16; 2θ = 70.09°, I 17; 2θ = 70.97°, I 22

Structure:
```
data_Sc5PaTc6
_cell_length_a 4.6687
_cell_length_b 13.7850
_cell_length_c 6.5049
_cell_angle_alpha 90.00
_cell_angle_beta 90.00
_cell_angle_gamma 90.00
_symmetry_space_group_name_H-M 'C m m m'
_symmetry_Int_Tables_number 65
_symmetry_space_group_name_Hall '-C 2 2'
loop_
_atom_site_label
_atom_site_fract_x
_atom_site_fract_y
_atom_site_fract_z
Sc1 0.0000 0.0000 0.0000
Sc2 0.0000 0.3239 0.5000
Sc3 0.0000 0.3309 0.0000
Pa1 0.0000 0.0000 0.5000
Tc1 0.0000 0.1566 0.2571
Tc2 0.0000 0.5000 0.2690
```

11.
The following is a computed powder diffractogram of Sc2PaTc2. It was derived from DFT lattice parameters and positions (PBE), using CuKα.

Main lines, low angle first (10° ≤ 2θ ≤ 90°):
2θ = 32.85°, I 38; 2θ = 35.59°, I 70; 2θ = 38.57°, I 100; 2θ = 39.13°, I 65; 2θ = 42.61°, I 33; 2θ = 66.67°, I 24

Structure:
```
data_Sc2PaTc2
_cell_length_a 3.3423
_cell_length_b 19.2253
_cell_length_c 3.3102
_cell_angle_alpha 90.00
_cell_angle_beta 90.00
_cell_angle_gamma 90.00
_symmetry_space_group_name_H-M 'C m m m'
_symmetry_Int_Tables_number 65
_symmetry_space_group_name_Hall '-C 2 2'
loop_
_atom_site_label
_atom_site_fract_x
_atom_site_fract_y
_atom_site_fract_z
Sc1 0.0000 0.1718 0.0000
Pa1 0.0000 0.0000 0.0000
Tc1 0.0000 0.4131 0.5000
```

12.
The following is a computed powder diffractogram of TmSc14Pa. It was derived from DFT lattice parameters and positions (PBE), using CuKα.

Main lines, low angle first (10° ≤ 2θ ≤ 90°):
2θ = 15.46°, I 15; 2θ = 17.67°, I 22; 2θ = 31.10°, I 20; 2θ = 34.50°, I 24; 2θ = 35.71°, I 100; 2θ = 47.15°, I 18

Structure:
```
data_TmSc14Pa
_cell_length_a 10.3997
_cell_length_b 6.6489
_cell_length_c 11.4623
_cell_angle_alpha 90.00
_cell_angle_beta 90.00
_cell_angle_gamma 90.00
_symmetry_space_group_name_H-M 'A m m 2'
_symmetry_Int_Tables_number 38
loop_
_symmetry_equiv_pos_as_xyz
'x,y,z'
'-x,-y,z'
'-x,y,z'
'x,-y,z'
'x,y+1/2,z+1/2'
'-x,-y+1/2,z+1/2'
'-x,y+1/2,z+1/2'
'x,-y+1/2,z+1/2'
loop_
_atom_site_label
_atom_site_fract_x
_atom_site_fract_y
_atom_site_fract_z
Tm1 0.0000 0.0000 0.0000
Sc1 0.0000 0.2484 0.2472
Sc2 0.2494 0.0000 0.3340
Sc3 0.2531 0.2453 0.5807
Sc4 0.2572 0.0000 0.8304
Sc5 0.5000 0.0000 0.4985
Sc6 0.5000 0.0000 0.9982
Sc7 0.5000 0.2497 0.2486
Pa1 0.0000 0.0000 0.5003
```

13.
The following is a computed powder diffractogram of Tm2Sc4Pa. It was derived from DFT lattice parameters and positions (PBE), using CuKα.

Main lines, low angle first (10° ≤ 2θ ≤ 90°):
2θ = 14.10°, I 65; 2θ = 31.06°, I 77; 2θ = 33.27°, I 46; 2θ = 34.93°, I 100; 2θ = 35.71°, I 95; 2θ = 65.98°, I 37

Structure:
```
data_Tm2Sc4Pa
_cell_length_a 5.7630
_cell_length_b 3.3304
_cell_length_c 18.9484
_cell_angle_alpha 90.00
_cell_angle_beta 95.86
_cell_angle_gamma 90.00
_symmetry_space_group_name_H-M 'C 1 m 1'
_symmetry_Int_Tables_number 8
loop_
_symmetry_equiv_pos_as_xyz
'x,y,z'
'x,-y,z'
'x+1/2,y+1/2,z'
'x+1/2,-y+1/2,z'
loop_
_atom_site_label
_atom_site_fract_x
_atom_site_fract_y
_atom_site_fract_z
Tm1 0.0000 0.0000 0.0000
Tm2 0.0971 0.0000 0.2893
Sc1 0.2808 0.0000 0.8548
Sc2 0.3114 0.5000 0.4371
Sc3 0.3821 0.0000 0.1448
Sc4 0.4011 0.5000 0.7174
Pa1 0.1869 0.0000 0.5770
```

14.
The following is a computed powder diffractogram of ScPaW. It was derived from DFT lattice parameters and positions (PBE), using CuKα.

Main lines, low angle first (10° ≤ 2θ ≤ 90°):
2θ = 17.68°, I 59; 2θ = 36.25°, I 44; 2θ = 37.13°, I 100; 2θ = 37.19°, I 68; 2θ = 38.80°, I 47; 2θ = 40.89°, I 50

Structure:
```
data_ScPaW
_cell_length_a 9.2834
_cell_length_b 5.8609
_cell_length_c 9.7025
_cell_angle_alpha 90.00
_cell_angle_beta 90.00
_cell_angle_gamma 90.00
_symmetry_space_group_name_H-M 'A m m 2'
_symmetry_Int_Tables_number 38
loop_
_symmetry_equiv_pos_as_xyz
'x,y,z'
'-x,-y,z'
'-x,y,z'
'x,-y,z'
'x,y+1/2,z+1/2'
'-x,-y+1/2,z+1/2'
'-x,y+1/2,z+1/2'
'x,-y+1/2,z+1/2'
loop_
_atom_site_label
_atom_site_fract_x
_atom_site_fract_y
_atom_site_fract_z
Sc1 0.1665 0.0000 0.0000
Sc2 0.2846 0.0000 0.6718
Pa1 0.2435 0.0000 0.3328
Pa2 0.5000 0.2421 0.9229
W1 0.0000 0.0000 0.4969
W2 0.0000 0.2351 0.7406
W3 0.5000 0.0000 0.1650
```